The following is a calculated powder X-ray diffraction pattern of NiSb6Pd2. It was derived from a cell relaxed with GGA-PBE, using Cu Kα.
Neutral-atom scattering factors, no anomalous dispersion.

Top 10 peaks for 2θ from 10° to 90°, sorted by position:
2theta  d_spacing  Rel. int.  (hkl)
22.32  3.982  14.8  1 0 1
31.26  2.861  100.0  2 -1 1
42.67  2.119  45.3  1 1 2
44.41  2.040  8.1  3 -1 1
46.84  1.939  36.7  3 0 0
57.40  1.605  16.1  2 2 1
65.21  1.431  11.7  4 -2 2
71.01  1.327  9.4  3 0 3
77.13  1.237  12.3  5 -1 1
84.07  1.151  11.1  4 1 2

Atomic structure:
a b c (Å): 6.7184 6.7184 5.4621
angles (deg): 90.00 90.00 120.00
Space group P-31m (No. 162)
Unique sites:
1 Ni 0.0000 0.0000 0.0000 x1
2 Sb 0.0000 0.3522 0.7929 x6
3 Pd 0.3333 0.6667 0.5000 x2